No. 1
# Li2CoOF2
Theoretical XRD peak list, a wavelength of 1.5418 Å. Input: a GGA+U-relaxed structure.

Top 10 peaks for 10 to 90 degrees two-theta, in order of rising 2θ:
d (Å), intensity
6.294, 40
2.877, 29
2.678, 48
2.518, 18
2.157, 35
2.098, 49
2.090, 100
2.062, 24
1.484, 27
1.478, 54

Crystal structure
```
Li2CoOF2
1.0
2.9537 0.0000 0.0000
0.0000 2.9576 0.0000
-0.0738 0.0000 12.5876
Li Co O F
4 2 2 4
direct
0.2500 0.2500 0.0796 Li
0.2497 0.2500 0.7558 Li
0.7503 0.7500 0.2442 Li
0.7500 0.7500 0.9204 Li
0.2517 0.2500 0.4163 Co
0.7483 0.7500 0.5837 Co
0.2499 0.2500 0.5889 O
0.7501 0.7500 0.4111 O
0.2498 0.2500 0.9191 F
0.2514 0.2500 0.2394 F
0.7486 0.7500 0.7606 F
0.7502 0.7500 0.0809 F
```



No. 2
# Li3Co2OF5
Theoretical XRD peak list, a wavelength of 1.5418 Å. Input: a GGA+U-relaxed structure.

Top 10 peaks for 10 to 90 degrees two-theta, in order of rising 2θ:
d (Å), intensity
4.708, 23
4.212, 13
3.767, 87
2.336, 24
2.106, 100
1.847, 11
1.829, 10
1.498, 10
1.489, 35
1.480, 9

Crystal structure
```
Li3Co2OF5
1.0
0.0000 4.2120 8.8774
2.9963 0.0000 8.8774
2.9963 4.2120 0.0000
Li Co O F
6 4 2 10
direct
0.0000 0.0000 0.0000 Li
0.0821 0.0821 0.4179 Li
0.3231 0.3231 0.6769 Li
0.4179 0.4179 0.0821 Li
0.6769 0.6769 0.3231 Li
0.7500 0.7500 0.7500 Li
0.2500 0.2500 0.2500 Co
0.5000 0.5000 0.5000 Co
0.5761 0.5761 0.9239 Co
0.9239 0.9239 0.5761 Co
0.2598 0.7402 0.2598 O
0.7402 0.2598 0.7402 O
0.0145 0.4855 0.0145 F
0.0946 0.5685 0.4442 F
0.1686 0.6656 0.8379 F
0.3279 0.8379 0.6656 F
0.4442 0.8927 0.0946 F
0.4855 0.0145 0.4855 F
0.5685 0.0946 0.8927 F
0.6656 0.1686 0.3279 F
0.8379 0.3279 0.1686 F
0.8927 0.4442 0.5685 F
```



No. 3
# Li2CoOF3
Theoretical XRD peak list, a wavelength of 1.5418 Å. Input: a GGA+U-relaxed structure.

Top 10 peaks for 10 to 90 degrees two-theta, in order of rising 2θ:
d (Å), intensity
5.053, 100
4.891, 59
3.637, 52
3.583, 63
2.854, 34
2.283, 83
2.255, 35
1.782, 23
1.756, 25
1.486, 26

Crystal structure
```
Li2CoOF3
1.0
4.8927 -2.9505 0.0000
4.8927 2.9505 0.0000
-0.1500 0.0000 5.1598
Li Co O F
4 2 2 6
direct
0.1898 0.1898 0.0059 Li
0.5041 0.0855 0.4735 Li
0.8102 0.8102 0.9941 Li
0.9145 0.4959 0.5265 Li
0.2005 0.7995 0.5000 Co
0.4663 0.5337 0.0000 Co
0.1448 0.6584 0.1971 O
0.3416 0.8552 0.8029 O
0.1256 0.1582 0.3657 F
0.3336 0.4075 0.6951 F
0.5626 0.1654 0.1211 F
0.5925 0.6664 0.3049 F
0.8346 0.4374 0.8789 F
0.8418 0.8744 0.6343 F
```



No. 4
# Li4Co2OF7
Theoretical XRD peak list, a wavelength of 1.5418 Å. Input: a GGA+U-relaxed structure.

Top 10 peaks for 10 to 90 degrees two-theta, in order of rising 2θ:
d (Å), intensity
4.868, 96
4.825, 100
4.249, 49
2.950, 26
2.563, 50
2.556, 33
2.124, 43
2.108, 81
1.501, 26
1.491, 25

Crystal structure
```
Li4Co2OF7
1.0
5.9006 0.0000 0.0000
0.0000 6.0275 0.0000
-5.8205 0.0000 8.4977
Li Co O F
8 4 2 14
direct
0.0000 0.2477 0.0000 Li
0.0000 0.7523 0.5000 Li
0.3772 0.2489 0.6170 Li
0.3772 0.7511 0.1170 Li
0.7493 0.2506 0.2313 Li
0.7493 0.7494 0.7313 Li
0.8771 0.2508 0.6128 Li
0.8771 0.7492 0.1128 Li
0.3529 0.0198 0.3652 Co
0.3529 0.9802 0.8652 Co
0.3679 0.4942 0.3667 Co
0.3679 0.5058 0.8667 Co
0.1604 0.2385 0.3670 O
0.1604 0.7615 0.8670 O
0.1279 0.2444 0.8601 F
0.1279 0.7556 0.3601 F
0.1410 0.4852 0.6280 F
0.1410 0.5148 0.1280 F
0.1465 0.0160 0.6307 F
0.1465 0.9840 0.1307 F
0.5905 0.2367 0.8644 F
0.5905 0.7633 0.3644 F
0.6175 0.0102 0.6009 F
0.6175 0.9898 0.1009 F
0.6189 0.4826 0.6048 F
0.6189 0.5174 0.1048 F
0.6306 0.2421 0.3724 F
0.6306 0.7579 0.8724 F
```



No. 5
# LiCo2OF5
Theoretical XRD peak list, a wavelength of 1.5418 Å. Input: a GGA+U-relaxed structure.

Top 10 peaks for 10 to 90 degrees two-theta, in order of rising 2θ:
d (Å), intensity
4.403, 27
4.299, 60
3.545, 58
3.302, 19
2.890, 100
2.189, 20
2.164, 20
1.683, 28
1.672, 24
1.669, 23

Crystal structure
```
LiCo2OF5
1.0
4.9913 0.0000 0.0000
0.0000 4.5610 0.0000
-0.0807 0.0000 16.9031
Li Co O F
4 8 4 20
direct
0.0000 0.2335 0.0000 Li
0.0000 0.7665 0.5000 Li
0.5100 0.2464 0.2313 Li
0.5100 0.7536 0.7313 Li
0.0138 0.2626 0.3276 Co
0.0138 0.7374 0.8276 Co
0.0237 0.2771 0.6754 Co
0.0237 0.7229 0.1754 Co
0.4777 0.2722 0.8979 Co
0.4777 0.7278 0.3979 Co
0.5133 0.2510 0.5661 Co
0.5133 0.7490 0.0661 Co
0.1509 0.4791 0.2458 O
0.1509 0.5209 0.7458 O
0.1827 0.4945 0.8988 O
0.1827 0.5055 0.3988 O
0.1835 0.4764 0.5755 F
0.1835 0.5236 0.0755 F
0.3243 0.0253 0.3201 F
0.3243 0.9747 0.8201 F
0.3412 0.0220 0.6501 F
0.3412 0.9780 0.1501 F
0.3491 0.0080 0.9885 F
0.3491 0.9920 0.4885 F
0.6636 0.4889 0.9921 F
0.6636 0.5111 0.4921 F
0.6698 0.4783 0.6537 F
0.6698 0.5217 0.1537 F
0.6916 0.4836 0.3227 F
0.6916 0.5164 0.8227 F
0.8321 0.0078 0.9035 F
0.8321 0.9922 0.4035 F
0.8326 0.0280 0.5822 F
0.8326 0.9720 0.0822 F
0.8473 0.0198 0.2465 F
0.8473 0.9802 0.7465 F
```



No. 6
# Li4CoO3F
Theoretical XRD peak list, a wavelength of 1.5418 Å. Input: a GGA+U-relaxed structure.

Top 10 peaks for 10 to 90 degrees two-theta, in order of rising 2θ:
d (Å), intensity
5.358, 82
4.183, 71
3.935, 53
3.348, 42
3.210, 100
2.839, 92
2.679, 29
2.550, 30
2.487, 57
2.200, 38

Crystal structure
```
Li4CoO3F
1.0
3.9348 -3.6571 0.0000
3.9348 3.6571 0.0000
0.0000 0.0000 6.6962
Li Co O F
8 2 6 2
direct
0.0830 0.6081 0.5000 Li
0.3329 0.3405 0.2551 Li
0.3405 0.3329 0.7551 Li
0.3919 0.9170 0.5000 Li
0.6081 0.0830 0.0000 Li
0.6595 0.6671 0.2551 Li
0.6671 0.6595 0.7551 Li
0.9170 0.3919 0.0000 Li
0.1218 0.8782 0.0776 Co
0.8782 0.1218 0.5776 Co
0.1736 0.2342 0.5081 O
0.2342 0.1736 0.0081 O
0.2915 0.7085 0.2710 O
0.7085 0.2915 0.7710 O
0.7658 0.8264 0.5081 O
0.8264 0.7658 0.0081 O
0.3086 0.6914 0.7146 F
0.6914 0.3086 0.2146 F
```



No. 7
# Li4Co3OF11
Theoretical XRD peak list, a wavelength of 1.5418 Å. Input: a GGA+U-relaxed structure.

Top 10 peaks for 10 to 90 degrees two-theta, in order of rising 2θ:
d (Å), intensity
5.764, 100
4.653, 44
3.736, 76
3.598, 67
2.909, 43
2.829, 79
2.738, 34
1.772, 25
1.703, 30
1.691, 33

Crystal structure
```
Li4Co3OF11
1.0
5.8129 0.0000 0.0000
-0.9148 5.8852 0.0000
-1.0905 -1.2360 6.0033
Li Co O F
4 3 1 11
direct
0.0000 0.0000 0.0000 Li
0.1613 0.2251 0.5150 Li
0.5392 0.0794 0.2669 Li
0.7317 0.3177 0.7847 Li
0.2650 0.4997 0.0622 Co
0.4574 0.8060 0.7330 Co
0.8338 0.6479 0.3810 Co
0.5168 0.6607 0.2612 O
0.0677 0.2584 0.8107 F
0.1853 0.6331 0.5217 F
0.2385 0.8042 0.9433 F
0.2617 0.2297 0.2149 F
0.4412 0.0539 0.5760 F
0.4833 0.5039 0.8210 F
0.6574 0.0439 0.9788 F
0.7740 0.3542 0.4539 F
0.7803 0.7868 0.6813 F
0.9268 0.5198 0.1026 F
0.9449 0.9433 0.3396 F
```



No. 8
# Li6CoOF6
Theoretical XRD peak list, a wavelength of 1.5418 Å. Input: a GGA+U-relaxed structure.

Top 10 peaks for 10 to 90 degrees two-theta, in order of rising 2θ:
d (Å), intensity
7.310, 68
4.873, 30
2.890, 40
2.783, 34
2.601, 24
2.166, 19
2.089, 50
2.053, 100
1.465, 39
1.452, 26

Crystal structure
```
Li6CoOF6
1.0
2.9040 0.0000 0.0000
0.0069 5.8074 0.0000
1.4330 1.4544 14.6203
Li Co O F
12 2 2 12
direct
0.0744 0.2870 0.3514 Li
0.0746 0.7874 0.3511 Li
0.2151 0.3575 0.0698 Li
0.2151 0.8575 0.0698 Li
0.3541 0.4272 0.7917 Li
0.3541 0.9269 0.7917 Li
0.6459 0.0731 0.2083 Li
0.6459 0.5728 0.2083 Li
0.7849 0.1425 0.9302 Li
0.7849 0.6425 0.9302 Li
0.9254 0.2126 0.6489 Li
0.9256 0.7130 0.6486 Li
0.5000 0.0000 0.5000 Co
0.5000 0.5000 0.5000 Co
0.0024 0.2504 0.4981 O
0.9976 0.7496 0.5019 O
0.1453 0.3230 0.2089 F
0.1452 0.8228 0.2090 F
0.2846 0.3924 0.9305 F
0.2846 0.8925 0.9305 F
0.4222 0.9608 0.6534 F
0.4233 0.4629 0.6531 F
0.5767 0.5371 0.3469 F
0.5778 0.0392 0.3466 F
0.7154 0.1075 0.0695 F
0.7154 0.6076 0.0695 F
0.8548 0.1772 0.7910 F
0.8547 0.6770 0.7911 F
```



No. 9
# Li4CoOF5
Theoretical XRD peak list, a wavelength of 1.5418 Å. Input: a GGA+U-relaxed structure.

Top 10 peaks for 10 to 90 degrees two-theta, in order of rising 2θ:
d (Å), intensity
5.965, 100
4.881, 51
4.619, 37
3.397, 32
3.190, 83
2.760, 26
2.441, 57
2.107, 51
1.826, 32
1.637, 32

Crystal structure
```
Li4CoOF5
1.0
5.1857 -1.8264 0.0000
5.1857 1.8264 0.0000
-3.0457 0.0000 5.9654
Li Co O F
4 1 1 5
direct
0.1337 0.1337 0.3868 Li
0.1681 0.1681 0.8083 Li
0.8319 0.8319 0.1917 Li
0.8663 0.8663 0.6132 Li
0.5000 0.5000 0.0000 Co
0.0000 0.0000 0.0000 O
0.0000 0.0000 0.5000 F
0.3175 0.3175 0.6802 F
0.3529 0.3529 0.1197 F
0.6471 0.6471 0.8803 F
0.6825 0.6825 0.3198 F
```